Record 1
Structure and theoretical PXRD pattern of Fe2Co5GeMo2 (DFT lattice parameters and positions (GGA-PBE); Cu Kα X-rays).
Intensities are scaled so that the largest is 100.

Structure:
```
data_Fe2Co5GeMo2
_space_group_name_H-M_alt 'P 4/m b m'
_space_group_IT_number 127
_space_group_name_Hall '-P 4 2ab'
_cell_length_a 8.1243
_cell_length_b 8.1243
_cell_length_c 3.6913
_cell_angle_alpha 90.00
_cell_angle_beta 90.00
_cell_angle_gamma 90.00
loop_
_atom_site_label
_atom_site_type_symbol
_atom_site_fract_x
_atom_site_fract_y
_atom_site_fract_z
Fe1 Fe 0.1276 0.3724 0.0000
Co1 Co 0.0000 0.5000 0.5000
Co2 Co 0.0710 0.2047 0.5000
Ge1 Ge 0.0000 0.0000 0.0000
Mo1 Mo 0.1668 0.6668 0.0000
```

Most intense lines, 2θ = 10–80°, in order of rising 2θ:
2theta	I (rel.)	hkl
34.64	21	2 1 1
39.76	17	2 2 1
42.89	100	3 1 1
46.06	27	4 1 0
47.26	23	3 2 1
49.38	29	0 0 2
50.22	13	4 2 0
69.82	15	4 1 2

***

Record 2
Structure and theoretical PXRD pattern of Ba2Sr6PtRh (DFT lattice parameters and positions (GGA-PBE); Cu Kα X-rays).
Intensities are scaled so that the largest is 100.

Structure:
```
data_Ba2Sr6PtRh
_space_group_name_H-M_alt 'C 1 m 1'
_space_group_IT_number 8
_cell_length_a 12.1274
_cell_length_b 12.1415
_cell_length_c 8.5780
_cell_angle_alpha 90.00
_cell_angle_beta 134.89
_cell_angle_gamma 90.00
loop_
_space_group_symop_operation_xyz
'x,y,z'
'x,-y,z'
'x+1/2,y+1/2,z'
'x+1/2,-y+1/2,z'
loop_
_atom_site_label
_atom_site_type_symbol
_atom_site_fract_x
_atom_site_fract_y
_atom_site_fract_z
Ba1 Ba 0.0000 0.2501 0.0000
Sr1 Sr 0.9996 0.2486 0.4993
Sr2 Sr 0.2475 0.0000 0.9954
Sr3 Sr 0.2480 0.0000 0.4991
Sr4 Sr 0.2508 0.5000 0.0014
Sr5 Sr 0.2511 0.5000 0.4995
Pt1 Pt 0.4990 0.0000 0.4983
Rh1 Rh 0.4990 0.5000 0.4982
```

Most intense lines, 2θ = 10–80°, in order of rising 2θ:
2theta	I (rel.)	hkl
14.59	20	0 2 0
20.69	59	2 0 0
25.41	40	2 2 0
29.43	100	0 4 0
36.25	28	2 4 0
42.10	75	4 0 0
52.20	27	4 4 0
69.17	17	4 0 2

***

Record 3
Structure and theoretical PXRD pattern of Hg12Se6O25 (DFT lattice parameters and positions (GGA-PBE); Cu Kα X-rays).
Intensities are scaled so that the largest is 100.

Structure:
```
data_Hg12Se6O25
_space_group_name_H-M_alt 'R -3'
_space_group_IT_number 148
_space_group_name_Hall '-R 3'
_cell_length_a 15.6162
_cell_length_b 15.6162
_cell_length_c 10.6515
_cell_angle_alpha 90.00
_cell_angle_beta 90.00
_cell_angle_gamma 120.00
loop_
_atom_site_label
_atom_site_type_symbol
_atom_site_fract_x
_atom_site_fract_y
_atom_site_fract_z
Hg1 Hg 0.0305 0.7509 0.2954
Hg2 Hg 0.0764 0.5146 0.6709
Se1 Se 0.0081 0.8578 0.6539
O1 O 0.0000 0.0000 0.0000
O2 O 0.0226 0.7866 0.5427
O3 O 0.0305 0.7564 0.0487
O4 O 0.0888 0.2371 0.2583
O5 O 0.1067 0.8901 0.7526
```

Most intense lines, 2θ = 10–80°, in order of rising 2θ:
2theta	I (rel.)	hkl
11.33	37	1 1 0
25.08	44	0 0 3
27.61	16	1 1 3
30.00	100	5 -2 1
33.42	56	2 3 2
44.85	27	5 -2 4
50.96	30	7 1 0
57.63	27	8 -7 3

***

Record 4
Structure and theoretical PXRD pattern of Ce6AgRh2 (DFT lattice parameters and positions (GGA-PBE); Cu Kα X-rays).
Intensities are scaled so that the largest is 100.

Structure:
```
data_Ce6AgRh2
_space_group_name_H-M_alt 'C 1 2/m 1'
_space_group_IT_number 12
_cell_length_a 10.9438
_cell_length_b 4.6811
_cell_length_c 9.1086
_cell_angle_alpha 90.00
_cell_angle_beta 118.13
_cell_angle_gamma 90.00
loop_
_space_group_symop_operation_xyz
'x,y,z'
'-x,-y,-z'
'-x,y,-z'
'x,-y,z'
'x+1/2,y+1/2,z'
'-x+1/2,-y+1/2,-z'
'-x+1/2,y+1/2,-z'
'x+1/2,-y+1/2,z'
loop_
_atom_site_label
_atom_site_type_symbol
_atom_site_fract_x
_atom_site_fract_y
_atom_site_fract_z
Ce1 Ce 0.0329 0.0000 0.1666
Ce2 Ce 0.1740 0.5000 0.5016
Ce3 Ce 0.1966 0.5000 0.1284
Ag1 Ag 0.0000 0.0000 0.5000
Rh1 Rh 0.1118 0.5000 0.7827
```

Most intense lines, 2θ = 10–80°, in order of rising 2θ:
2theta	I (rel.)	hkl
32.44	33	3 1 -2
33.47	54	0 0 3
33.81	100	3 1 0
37.32	66	3 1 -3
38.46	50	0 2 0
39.72	18	3 1 1
51.89	31	0 2 3
64.96	17	6 2 -2

***

Record 5
Structure and theoretical PXRD pattern of Ac8LaY4 (DFT lattice parameters and positions (GGA-PBE); Cu Kα X-rays).
Intensities are scaled so that the largest is 100.

Structure:
```
data_Ac8LaY4
_space_group_name_H-M_alt 'R -3 m'
_space_group_IT_number 166
_space_group_name_Hall '-R 3 2"'
_cell_length_a 11.8533
_cell_length_b 11.8533
_cell_length_c 14.4999
_cell_angle_alpha 90.00
_cell_angle_beta 90.00
_cell_angle_gamma 120.00
loop_
_atom_site_label
_atom_site_type_symbol
_atom_site_fract_x
_atom_site_fract_y
_atom_site_fract_z
Ac1 Ac 0.0000 0.0000 0.2401
Ac2 Ac 0.0129 0.5065 0.7466
La1 La 0.0000 0.0000 0.5000
Y1 Y 0.0000 0.0000 0.0000
Y2 Y 0.0000 0.5000 0.0000
```

Most intense lines, 2θ = 10–80°, in order of rising 2θ:
2theta	I (rel.)	hkl
21.21	36	2 0 2
30.17	100	2 2 0
37.17	12	0 4 2
43.19	19	4 0 4
48.60	16	4 2 2
53.59	39	6 0 0
62.73	12	4 4 0
71.18	16	6 2 4

***

Record 6
Structure and theoretical PXRD pattern of Ho4Cd2Au (DFT lattice parameters and positions (GGA-PBE); Cu Kα X-rays).
Intensities are scaled so that the largest is 100.

Structure:
```
data_Ho4Cd2Au
_space_group_name_H-M_alt 'R -3 m'
_space_group_IT_number 166
_space_group_name_Hall '-R 3 2"'
_cell_length_a 5.1525
_cell_length_b 5.1525
_cell_length_c 25.0888
_cell_angle_alpha 90.00
_cell_angle_beta 90.00
_cell_angle_gamma 120.00
loop_
_atom_site_label
_atom_site_type_symbol
_atom_site_fract_x
_atom_site_fract_y
_atom_site_fract_z
Ho1 Ho 0.0000 0.0000 0.1241
Ho2 Ho 0.0000 0.0000 0.3753
Cd1 Cd 0.0000 0.0000 0.2474
Au1 Au 0.0000 0.0000 0.0000
```

Most intense lines, 2θ = 10–80°, in order of rising 2θ:
2theta	I (rel.)	hkl
10.58	16	0 0 3
20.21	13	1 0 1
34.82	100	1 1 0
34.97	98	0 1 8
50.18	35	2 0 8
62.50	55	3 0 0
62.81	18	1 0 16
73.52	11	2 2 0